# SrTcTeO6
Simulated X-ray diffraction stick pattern, copper Kα. Input: the GGA-PBE geometry in Alexandria.
Lines closer than 0.1° are merged.

Largest 12 diffraction maxima, most intense first, 10° ≤ 2θ ≤ 90°:
d [Å]  2θ/deg  I_rel  h k l
3.511  25.4  100.0  1 0 1
1.898  47.9  50.4  2 -1 2
2.667  33.6  39.7  1 1 0
5.404  16.4  32.2  0 0 1
1.661  55.3  22.0  3 -1 1
2.124  42.6  21.6  2 0 1
2.392  37.6  17.2  2 -1 1
1.540  60.1  14.7  3 0 0
1.678  54.7  10.2  1 0 3
2.702  33.2  10.2  0 0 2
1.196  80.3  9.9  2 2 2
1.247  76.4  9.0  3 1 1

Cell and atoms:
Cell: 5.3337 5.3337 5.4045 Å, 90.00 90.00 120.00°
Space group P312 (No. 149)
Symmetry-distinct sites (fractional):
Sr (0.0000, 0.0000, 0.0000) x1
Tc (0.3333, 0.6667, 0.5000) x1
Te (0.6667, 0.3333, 0.5000) x1
O (0.3781, 0.0088, 0.7024) x6

=====

# Ac2Tb5Ho4
Simulated X-ray diffraction stick pattern, copper Kα. Input: the GGA-PBE geometry in Alexandria.
Lines closer than 0.1° are merged.

Largest 12 diffraction maxima, most intense first, 10° ≤ 2θ ≤ 90°:
d [Å]  2θ/deg  I_rel  h k l
2.960  30.2  100.0  1 2 -2
2.563  35.0  50.8  2 1 0
1.813  50.3  30.4  1 4 -1
1.547  59.8  21.7  1 -5 0
1.545  59.9  10.9  3 0 2
1.543  59.9  10.9  4 0 -1
1.147  84.5  8.3  3 5 -1
1.177  81.8  7.4  1 6 0
1.482  62.7  6.3  2 4 -4
1.478  62.9  6.2  -4 2 2
1.808  50.5  6.2  3 -2 1
1.176  81.9  5.9  5 0 -4

Cell and atoms:
Cell: 6.268 8.108 8.114 Å, 107.38 105.07 97.30°
Space group P-1 (No. 2)
Symmetry-distinct sites (fractional):
Ac (0.139, 0.233, 0.047) x2
Tb (0.229, 0.047, 0.415) x2
Tb (0.412, 0.685, 0.142) x2
Tb (0.500, 0.500, 0.500) x1
Ho (0.048, 0.408, 0.675) x2
Ho (0.318, 0.863, 0.767) x2

=====

# CsZrReO6
Simulated X-ray diffraction stick pattern, copper Kα. Input: the GGA-PBE geometry in Alexandria.
Lines closer than 0.1° are merged.

Largest 12 diffraction maxima, most intense first, 10° ≤ 2θ ≤ 90°:
d [Å]  2θ/deg  I_rel  h k l
3.862  23.0  100.0  1 0 1
2.114  42.8  40.7  2 -1 2
2.741  32.7  31.9  1 1 0
6.640  13.3  27.3  0 0 1
1.732  52.8  19.6  3 -1 1
2.235  40.3  17.4  0 2 1
3.320  26.9  15.8  0 0 2
2.006  45.2  13.3  1 0 3
1.619  56.9  10.5  0 2 3
1.420  65.8  9.9  1 1 4
1.394  67.2  9.6  2 1 3
1.429  65.3  9.4  3 0 2

Cell and atoms:
Cell: 5.4826 5.4826 6.6397 Å, 90.00 90.00 120.00°
Space group P3 (No. 143)
Symmetry-distinct sites (fractional):
Cs (0.0000, 0.0000, 0.0000) x1
Zr (0.3333, 0.6667, 0.5250) x1
Re (0.6667, 0.3333, 0.4870) x1
O (0.4172, 0.3927, 0.3322) x3
O (0.4183, 0.0322, 0.6699) x3

=====

# AcThZnRu
Simulated X-ray diffraction stick pattern, copper Kα. Input: the GGA-PBE geometry in Alexandria.
Lines closer than 0.1° are merged.

Largest 11 diffraction maxima, most intense first, 10° ≤ 2θ ≤ 90°:
d [Å]  2θ/deg  I_rel  h k l
2.609  34.4  100.0  2 2 0
1.506  61.6  37.7  4 2 2
3.690  24.1  22.4  2 0 0
1.845  49.4  18.2  4 0 0
1.167  82.7  16.6  6 2 0
1.305  72.4  11.7  4 4 0
1.650  55.7  10.2  4 2 0
2.130  42.4  7.2  2 2 2
1.230  77.6  5.2  6 0 0
1.113  87.7  3.2  6 2 2
4.261  20.8  0.7  1 1 1

Cell and atoms:
Cell: 7.380 7.380 7.380 Å, 90.00 90.00 90.00°
Space group F-43m (No. 216)
Symmetry-distinct sites (fractional):
Ac (0.000, 0.000, 0.000) x4
Th (0.000, 0.000, 0.500) x4
Zn (0.250, 0.250, 0.750) x4
Ru (0.250, 0.250, 0.250) x4